# 1
Theoretical powder diffraction line list of PmYTlIn for Cu Ka, from a DFT-relaxed cell (PBE, Alexandria).

Cell lengths 7.6511, 7.6511, 7.6511 Å; angles 90.00, 90.00, 90.00 degrees
Space group F-43m (No. 216)
One atom of each set of equivalent atoms:
Pm1 0.0000 0.0000 0.0000 x4
Y1 0.0000 0.0000 0.5000 x4
Tl1 0.2500 0.2500 0.2500 x4
In1 0.2500 0.2500 0.7500 x4

Peak list (10 most intense, 2θ = 5–70°, in order of falling intensity)
| 2θ/deg | intensity | index |
| --- | --- | --- |
| 33.12 | 100 | 2 2 0 |
| 59.16 | 38 | 4 2 2 |
| 47.54 | 18 | 4 0 0 |
| 69.50 | 12 | 4 4 0 |
| 20.10 | 7 | 1 1 1 |
| 39.05 | 4 | 3 1 1 |
| 23.25 | 2 | 2 0 0 |
| 52.11 | 2 | 3 3 1 |
| 63.14 | 2 | 5 1 1 |
| 53.57 | 1 | 4 2 0 |

=====

# 2
Theoretical powder diffraction line list of Pm12TmIn6 for Cu Ka, from a DFT-relaxed cell (PBE, Alexandria).

Cell lengths 11.6718, 11.6718, 14.6720 Å; angles 90.00, 90.00, 120.00 degrees
Space group R-3 (No. 148, hexagonal axes)
One atom of each set of equivalent atoms:
Pm1 0.0635 0.2179 0.4096 x18
Pm2 0.0698 0.8803 0.8071 x18
Tm1 0.0000 0.0000 0.0000 x3
In1 0.0321 0.5904 0.7126 x18

Peak list (10 most intense, 2θ = 5–70°, in order of falling intensity)
| 2θ/deg | intensity | index |
| --- | --- | --- |
| 34.24 | 100 | 3 1 2 |
| 32.26 | 89 | 0 3 3 |
| 32.52 | 81 | 4 -3 1 |
| 31.75 | 69 | 0 1 5 |
| 33.88 | 50 | 2 1 4 |
| 60.24 | 25 | 7 -5 3 |
| 24.07 | 20 | 3 -1 1 |
| 35.84 | 19 | 4 -2 3 |
| 55.60 | 18 | 1 2 8 |
| 56.16 | 17 | 1 4 6 |